Entry 1:
Structure and simulated XRD peak list of Ba3Zr4O9 (a DFT-relaxed cell (GGA-PBE, OQMD); Cu Kα X-rays).

Crystal structure
```
16
Lattice="2.937 1.696 8.207 -2.937 1.696 8.207 0.000 -3.391 8.207" Properties=species:S:1:pos:R:3 pbc="T T T"
Ba 0.000 0.000 0.000
Ba 0.000 0.000 10.480
Ba 0.000 0.000 14.142
Zr 0.000 0.000 3.967
Zr 0.000 0.000 6.954
Zr 0.000 0.000 17.668
Zr 0.000 0.000 20.654
O -1.549 -0.708 8.207
O -0.157 -1.664 5.591
O -1.362 0.968 5.591
O -1.362 -0.968 19.031
O 1.388 -0.987 8.207
O 0.161 1.696 8.207
O 1.520 0.696 5.591
O -0.157 1.664 19.031
O 1.520 -0.696 19.031
```

Peak list (12 most intense, 2θ from 15° to 90°, low angle first)
two_theta, d_spacing, I_rel
25.2, 3.538, 12
30.4, 2.937, 100
30.9, 2.893, 82
43.9, 2.061, 48
54.1, 1.696, 20
54.4, 1.687, 34
54.6, 1.682, 12
55.3, 1.662, 10
63.3, 1.468, 18
72.1, 1.309, 14
88.0, 1.110, 11
88.2, 1.108, 9

=====

Entry 2:
Structure and simulated XRD peak list of BaZr2O4 (a DFT-relaxed cell (GGA-PBE, OQMD); Cu Kα X-rays).

Crystal structure
```
14
Lattice="0.000 4.837 4.837 4.837 0.000 4.837 4.837 4.837 0.000" Properties=species:S:1:pos:R:3 pbc="T T T"
Ba 1.209 1.209 1.209
Ba 8.465 8.465 8.465
Zr 4.837 2.418 2.418
Zr 2.418 4.837 2.418
Zr 2.418 2.418 4.837
Zr 4.837 4.837 4.837
O 2.639 2.639 2.639
O 4.616 4.616 2.639
O 4.616 2.639 4.616
O 7.034 5.058 5.058
O 2.639 4.616 4.616
O 5.058 7.034 5.058
O 5.058 5.058 7.034
O 7.034 7.034 7.034
```

Peak list (12 most intense, 2θ from 15° to 90°, low angle first)
two_theta, d_spacing, I_rel
26.1, 3.420, 44
30.7, 2.917, 100
32.1, 2.793, 14
46.0, 1.975, 16
48.9, 1.862, 43
53.6, 1.710, 39
60.5, 1.530, 6
63.0, 1.475, 13
63.8, 1.458, 8
73.2, 1.293, 10
75.5, 1.259, 21
87.3, 1.117, 12

=====

Entry 3:
Structure and simulated XRD peak list of BaP2Pd2 (a DFT-relaxed cell (GGA-PBE, OQMD); Cu Kα X-rays).

Crystal structure
```
5
Lattice="4.102 0.000 0.000 -2.051 3.553 0.000 0.000 0.000 7.429" Properties=species:S:1:pos:R:3 pbc="T T T"
Ba 0.000 0.000 0.000
P 0.000 2.368 2.219
P 2.051 1.184 5.210
Pd 0.000 2.368 4.602
Pd 2.051 1.184 2.827
```

Peak list (12 most intense, 2θ from 15° to 90°, low angle first)
two_theta, d_spacing, I_rel
27.8, 3.205, 100
34.9, 2.567, 47
36.3, 2.476, 15
44.2, 2.051, 43
44.6, 2.032, 17
53.0, 1.728, 16
55.9, 1.646, 15
57.5, 1.603, 11
58.4, 1.580, 22
71.4, 1.321, 13
75.2, 1.263, 10
81.2, 1.184, 7

=====

Entry 4:
Structure and simulated XRD peak list of Ba3P4Pd4 (a DFT-relaxed cell (GGA-PBE, OQMD); Cu Kα X-rays).

Crystal structure
```
11
Lattice="4.274 0.000 0.000 0.000 4.553 0.000 0.000 0.000 12.478" Properties=species:S:1:pos:R:3 pbc="T T T"
Ba 0.000 0.000 0.000
Ba 2.137 0.000 3.694
Ba 2.137 0.000 8.784
P 0.000 2.276 4.906
P 0.000 2.276 7.572
P 2.137 2.276 1.158
P 2.137 2.276 11.320
Pd 0.000 0.000 6.239
Pd 0.000 2.276 2.395
Pd 0.000 2.276 10.083
Pd 2.137 2.276 6.239
```

Peak list (12 most intense, 2θ from 15° to 90°, low angle first)
two_theta, d_spacing, I_rel
22.0, 4.044, 8
28.6, 3.119, 11
29.1, 3.071, 31
32.1, 2.788, 100
39.6, 2.276, 23
41.9, 2.155, 22
42.3, 2.137, 19
52.1, 1.754, 12
59.0, 1.565, 16
59.3, 1.558, 14
67.1, 1.394, 25
70.9, 1.329, 10

=====

Entry 5:
Structure and simulated XRD peak list of Ba2PPd5 (a DFT-relaxed cell (GGA-PBE, OQMD); Cu Kα X-rays).

Crystal structure
```
16
Lattice="5.988 0.000 0.000 0.000 5.988 0.000 0.000 0.000 10.372" Properties=species:S:1:pos:R:3 pbc="T T T"
Ba 0.000 2.994 0.000
Ba 0.000 2.994 5.186
Ba 2.994 0.000 0.000
Ba 2.994 0.000 5.186
P 0.000 0.000 1.773
P 2.994 2.994 6.960
Pd 0.000 0.000 9.715
Pd 1.426 1.426 7.761
Pd 1.426 4.562 7.761
Pd 1.568 1.568 2.575
Pd 1.568 4.420 2.575
Pd 2.994 2.994 4.529
Pd 4.420 1.568 2.575
Pd 4.420 4.420 2.575
Pd 4.562 1.426 7.761
Pd 4.562 4.562 7.761
```

Peak list (12 most intense, 2θ from 15° to 90°, low angle first)
two_theta, d_spacing, I_rel
17.1, 5.186, 16
27.2, 3.280, 12
34.6, 2.593, 100
40.8, 2.211, 8
42.7, 2.117, 29
46.3, 1.960, 6
51.4, 1.779, 4
56.1, 1.640, 19
60.5, 1.529, 5
62.0, 1.497, 19
73.0, 1.296, 27
88.4, 1.106, 4

=====

Entry 6:
Structure and simulated XRD peak list of BaP2Pt2 (a DFT-relaxed cell (GGA-PBE, OQMD); Cu Kα X-rays).

Crystal structure
```
10
Lattice="2.262 -5.538 0.000 2.262 5.538 0.000 0.000 0.000 8.354" Properties=species:S:1:pos:R:3 pbc="T T T"
Ba 2.262 4.670 6.266
Ba 2.262 -4.670 2.089
P 2.262 3.314 0.968
P 2.262 3.314 3.210
P 2.262 -3.314 5.145
P 2.262 -3.314 7.387
Pt 2.262 1.512 4.866
Pt 2.262 1.512 7.665
Pt 2.262 -1.512 0.689
Pt 2.262 -1.512 3.488
```

Peak list (12 most intense, 2θ from 15° to 90°, low angle first)
two_theta, d_spacing, I_rel
21.2, 4.186, 22
23.8, 3.744, 59
30.2, 2.958, 70
31.3, 2.860, 44
32.3, 2.769, 40
33.1, 2.706, 63
36.1, 2.488, 100
39.9, 2.262, 47
54.9, 1.674, 60
56.9, 1.619, 38
62.1, 1.494, 24
89.8, 1.092, 27

=====

Entry 7:
Structure and simulated XRD peak list of Ba2P6PtW (a DFT-relaxed cell (GGA-PBE, OQMD); Cu Kα X-rays).

Crystal structure
```
20
Lattice="6.749 0.000 0.000 -3.374 5.845 0.000 0.000 0.000 11.992" Properties=species:S:1:pos:R:3 pbc="T T T"
Ba 0.000 3.896 0.939
Ba 0.000 3.896 5.056
Ba 3.374 1.948 6.935
Ba 3.374 1.948 11.052
P 0.000 1.920 7.539
P 0.000 1.920 10.448
P -1.712 4.885 7.539
P -1.712 4.885 10.448
P 1.663 0.960 1.543
P 1.663 0.960 4.452
P 1.712 4.885 7.539
P 1.712 4.885 10.448
P 5.086 0.960 1.543
P 5.086 0.960 4.452
P 3.374 3.925 1.543
P 3.374 3.925 4.452
Pt 0.000 3.896 8.994
Pt 3.374 1.948 2.998
W 0.000 0.000 2.998
W 0.000 0.000 8.994
```

Peak list (12 most intense, 2θ from 15° to 90°, low angle first)
two_theta, d_spacing, I_rel
16.9, 5.254, 17
21.2, 4.185, 27
26.4, 3.374, 100
27.0, 3.299, 74
30.4, 2.941, 21
38.1, 2.359, 57
40.2, 2.241, 22
46.6, 1.948, 22
47.0, 1.933, 33
53.3, 1.720, 36
54.4, 1.687, 27
67.1, 1.395, 18

=====

Entry 8:
Structure and simulated XRD peak list of Ba2TaReP6 (a DFT-relaxed cell (GGA-PBE, OQMD); Cu Kα X-rays).

Crystal structure
```
10
Lattice="6.775 -2.582 0.000 6.775 2.582 0.000 -0.957 0.000 6.484" Properties=species:S:1:pos:R:3 pbc="T T T"
Ba 2.541 0.000 1.686
Ba 10.052 0.000 4.798
Ta -0.479 0.000 3.242
Re 6.775 0.000 0.000
P 5.293 1.523 1.070
P 7.300 1.523 5.414
P 5.344 0.000 3.958
P 7.249 0.000 2.526
P 5.293 -1.523 1.070
P 7.300 -1.523 5.414
```

Peak list (12 most intense, 2θ from 15° to 90°, low angle first)
two_theta, d_spacing, I_rel
23.6, 3.774, 100
26.4, 3.379, 15
26.6, 3.351, 20
28.4, 3.142, 77
28.8, 3.101, 18
32.4, 2.764, 47
34.7, 2.582, 23
38.6, 2.334, 17
44.3, 2.046, 24
45.1, 2.012, 29
45.7, 1.984, 25
48.2, 1.887, 18

=====

Entry 9:
Structure and simulated XRD peak list of BaUP2S8 (a DFT-relaxed cell (GGA-PBE, OQMD); Cu Kα X-rays).

Crystal structure
```
48
Lattice="11.360 0.000 0.000 0.000 11.360 0.000 0.000 0.000 9.712" Properties=species:S:1:pos:R:3 pbc="T T T"
Ba 0.000 5.680 2.428
Ba 0.000 5.680 7.284
Ba 5.680 0.000 2.428
Ba 5.680 0.000 7.284
U 0.000 0.000 2.428
U 0.000 0.000 7.284
U 5.680 5.680 2.428
U 5.680 5.680 7.284
P 0.414 2.613 0.000
P 2.613 10.946 4.856
P 3.067 5.266 4.856
P 5.266 8.293 0.000
P 6.094 3.067 0.000
P 8.293 6.094 4.856
P 8.747 0.414 4.856
P 10.946 8.747 0.000
S 0.769 8.827 1.690
S 0.769 8.827 8.022
S 0.844 9.869 4.856
S 1.413 4.122 4.856
S 1.491 0.844 0.000
S 1.558 4.267 0.000
S 2.533 0.769 3.166
S 2.533 0.769 6.546
S 3.147 6.449 3.166
S 3.147 6.449 6.546
S 4.122 9.947 0.000
S 4.189 6.524 0.000
S 4.267 9.802 4.856
S 4.836 4.189 4.856
S 4.911 3.147 1.690
S 4.911 3.147 8.022
S 6.449 8.214 1.690
S 6.449 8.214 8.022
S 6.524 7.171 4.856
S 7.093 1.558 4.856
S 7.171 4.836 0.000
S 7.238 1.413 0.000
S 8.214 4.911 3.166
S 8.214 4.911 6.546
S 8.827 10.591 3.166
S 8.827 10.591 6.546
S 9.802 7.093 0.000
S 9.869 10.517 0.000
S 9.947 7.238 4.856
S 10.517 1.491 4.856
S 10.591 2.533 1.690
S 10.591 2.533 8.022
```

Peak list (12 most intense, 2θ from 15° to 90°, low angle first)
two_theta, d_spacing, I_rel
15.6, 5.680, 100
18.3, 4.856, 15
22.1, 4.016, 16
24.1, 3.691, 68
28.8, 3.095, 52
31.5, 2.840, 18
35.3, 2.540, 35
36.7, 2.452, 43
40.1, 2.251, 49
40.4, 2.232, 25
52.1, 1.755, 17
54.5, 1.685, 20

=====

What is the formula in the first record? Ba3Zr4O9